Calculated PXRD pattern of CaSn2S5 for Cu Kα, 1.54184 Å, from a cell relaxed with GGA-PBE.
Intensities are scaled so that the largest is 100.

Peak list (6 most intense, 15 to 90 degrees two-theta, sorted by position)
| Position (°2θ) | I/Imax |
| --- | --- |
| 18.8 | 43 |
| 24.5 | 32 |
| 25.3 | 37 |
| 28.0 | 100 |
| 41.4 | 32 |
| 46.2 | 26 |

Structure:
```
CaSn2S5
1.0
3.5248 -6.5143 0.0000
3.5248 6.5143 0.0000
0.0000 0.0000 18.9178
Ca Sn S
4 8 20
Direct
0.2073 0.7927 0.8644
0.2927 0.7073 0.3644
0.7073 0.2927 0.6356
0.7927 0.2073 0.1356
0.0075 0.9925 0.3564
0.1684 0.8316 0.1735
0.3316 0.6684 0.6735
0.4925 0.5075 0.8564
0.5075 0.4925 0.1436
0.6684 0.3316 0.3265
0.8316 0.1684 0.8265
0.9925 0.0075 0.6436
0.0072 0.9928 0.7724
0.0103 0.4897 0.2500
0.1154 0.3571 0.5865
0.1429 0.3846 0.9135
0.1607 0.8393 0.5918
0.3393 0.6607 0.0918
0.3571 0.1154 0.4135
0.3846 0.1429 0.0865
0.4897 0.0103 0.7500
0.4928 0.5072 0.2724
0.5072 0.4928 0.7276
0.5103 0.9897 0.2500
0.6154 0.8571 0.9135
0.6429 0.8846 0.5865
0.6607 0.3393 0.9082
0.8393 0.1607 0.4082
0.8571 0.6154 0.0865
0.8846 0.6429 0.4135
0.9897 0.5103 0.7500
0.9928 0.0072 0.2276
```

Calculated PXRD pattern of Ca3SnS5 for Cu Kα, 1.54184 Å, from a cell relaxed with GGA-PBE.
Intensities are scaled so that the largest is 100.

Peak list (6 most intense, 15 to 90 degrees two-theta, sorted by position)
| Position (°2θ) | I/Imax |
| --- | --- |
| 17.8 | 74 |
| 24.0 | 31 |
| 30.1 | 100 |
| 31.1 | 59 |
| 41.9 | 30 |
| 43.9 | 30 |

Structure:
```
Ca3SnS5
1.0
12.1819 0.0000 0.0000
0.0000 8.6187 0.0000
0.0000 0.0000 8.7122
Ca Sn S
12 4 20
Direct
0.0093 0.2500 0.1101
0.2029 0.5112 0.3900
0.2029 0.9888 0.3900
0.2971 0.0112 0.8900
0.2971 0.4888 0.8900
0.4907 0.7500 0.6101
0.5093 0.2500 0.3899
0.7029 0.5112 0.1100
0.7029 0.9888 0.1100
0.7971 0.0112 0.6100
0.7971 0.4888 0.6100
0.9907 0.7500 0.8899
0.0925 0.2500 0.6821
0.4075 0.7500 0.1821
0.5925 0.2500 0.8179
0.9075 0.7500 0.3179
0.0380 0.7500 0.5220
0.0720 0.0445 0.8600
0.0720 0.4555 0.8600
0.2104 0.7500 0.1323
0.2195 0.2500 0.2029
0.2805 0.7500 0.7029
0.2896 0.2500 0.6323
0.4280 0.5445 0.3600
0.4280 0.9555 0.3600
0.4620 0.2500 0.0220
0.5380 0.7500 0.9780
0.5720 0.0445 0.6400
0.5720 0.4555 0.6400
0.7104 0.7500 0.3677
0.7195 0.2500 0.2971
0.7805 0.7500 0.7971
0.7896 0.2500 0.8677
0.9280 0.5445 0.1400
0.9280 0.9555 0.1400
0.9620 0.2500 0.4780
```

Calculated PXRD pattern of CaSnS3 for Cu Kα, 1.54184 Å, from a cell relaxed with GGA-PBE.
Intensities are scaled so that the largest is 100.

Peak list (6 most intense, 15 to 90 degrees two-theta, sorted by position)
| Position (°2θ) | I/Imax |
| --- | --- |
| 15.1 | 53 |
| 18.8 | 56 |
| 18.9 | 98 |
| 22.3 | 50 |
| 24.8 | 100 |
| 25.5 | 50 |

Structure:
```
CaSnS3
1.0
6.9939 0.0000 0.0000
-0.5110 10.7293 0.0000
-0.0556 -4.3497 11.7803
Ca Sn S
6 6 18
Direct
0.0000 0.0000 0.0000
0.0070 0.5150 0.5100
0.3466 0.3199 0.2854
0.4207 0.7008 0.0505
0.5066 0.6988 0.7341
0.8227 0.5058 0.1810
0.0639 0.9154 0.6520
0.1426 0.1053 0.4084
0.2490 0.3152 0.9688
0.4661 0.6905 0.3858
0.4895 0.3042 0.6750
0.9843 0.6127 0.8427
0.0544 0.2701 0.1097
0.0608 0.5230 0.9930
0.1617 0.5735 0.3250
0.1987 0.9549 0.1957
0.2275 0.7971 0.8879
0.2436 0.4828 0.6844
0.2488 0.1010 0.8166
0.4124 0.8327 0.5833
0.4699 0.1857 0.4524
0.4871 0.0010 0.1676
0.5320 0.1445 0.0953
0.5545 0.4307 0.9905
0.6375 0.7587 0.2506
0.6516 0.5055 0.3897
0.7370 0.7759 0.9374
0.7644 0.5015 0.6784
0.9331 0.0170 0.5174
0.9767 0.2673 0.3616
```

Calculated PXRD pattern of CaSnS3 for Cu Kα, 1.54184 Å, from a cell relaxed with GGA-PBE.
Intensities are scaled so that the largest is 100.

Peak list (6 most intense, 15 to 90 degrees two-theta, sorted by position)
| Position (°2θ) | I/Imax |
| --- | --- |
| 24.2 | 96 |
| 25.3 | 100 |
| 32.0 | 34 |
| 32.8 | 32 |
| 36.8 | 46 |
| 42.6 | 40 |

Structure:
```
CaSnS3
1.0
8.8942 0.0000 0.0000
0.0000 7.0259 0.0000
-2.8994 0.0000 12.2119
Ca Sn S
6 6 18
Direct
0.0566 0.0000 0.0959
0.1388 0.9136 0.4275
0.3511 0.3919 0.3493
0.6489 0.8919 0.6507
0.8612 0.4136 0.5725
0.9434 0.5000 0.9041
0.1838 0.9539 0.8015
0.3774 0.3640 0.6979
0.4195 0.4742 0.9667
0.5805 0.9742 0.0333
0.6226 0.8640 0.3021
0.8162 0.4539 0.1985
0.0415 0.2422 0.2789
0.1237 0.1422 0.6145
0.1814 0.7085 0.2487
0.1834 0.2222 0.9411
0.2161 0.7366 0.9733
0.3220 0.9505 0.2665
0.3796 0.6545 0.5412
0.4218 0.1448 0.5300
0.4699 0.9787 0.8106
0.5301 0.4787 0.1894
0.5782 0.6448 0.4700
0.6204 0.1545 0.4588
0.6780 0.4505 0.7335
0.7839 0.2366 0.0267
0.8166 0.7222 0.0589
0.8186 0.2085 0.7513
0.8763 0.6422 0.3855
0.9585 0.7422 0.7210
```